# 1
For Pa4Se5O2, the GGA-PBE geometry in Alexandria gives the calculated powder X-ray diffraction pattern in this record (CuKα).

Crystal structure
```
data_Pa4Se5O2
_cell_length_a 9.145
_cell_length_b 9.145
_cell_length_c 7.849
_cell_angle_alpha 105.66
_cell_angle_beta 105.66
_cell_angle_gamma 24.63
_space_group_name_H-M_alt 'P 1'
_space_group_IT_number 1
loop_
_space_group_symop_operation_xyz
'x,y,z'
loop_
_atom_site_label
_atom_site_type_symbol
_atom_site_fract_x
_atom_site_fract_y
_atom_site_fract_z
_atom_site_occupancy
Pa1 Pa 0.019 0.019 0.243 1
Pa2 Pa 0.305 0.305 0.797 1
Pa3 Pa 0.695 0.695 0.203 1
Pa4 Pa 0.981 0.981 0.757 1
Se1 Se 0.154 0.154 0.910 1
Se2 Se 0.171 0.171 0.465 1
Se3 Se 0.500 0.500 0.500 1
Se4 Se 0.829 0.829 0.535 1
Se5 Se 0.846 0.846 0.090 1
O1 O 0.436 0.436 0.839 1
O2 O 0.564 0.564 0.161 1
```

Most intense lines, 2θ from 5° to 70°, by intensity:
2θ (°)	I (rel.)
33.64	1000
39.50	908
26.85	678
32.39	610
17.66	573
31.25	570
28.36	566
46.56	441
23.59	401
20.72	371
44.62	367
30.18	351

---

# 2
For La3Nd3Sc2, the GGA-PBE geometry in Alexandria gives the calculated powder X-ray diffraction pattern in this record (CuKα).

Crystal structure
```
data_La3Nd3Sc2
_cell_length_a 10.501
_cell_length_b 10.501
_cell_length_c 10.501
_cell_angle_alpha 151.48
_cell_angle_beta 151.43
_cell_angle_gamma 40.81
_space_group_name_H-M_alt 'P 1'
_space_group_IT_number 1
loop_
_space_group_symop_operation_xyz
'x,y,z'
loop_
_atom_site_label
_atom_site_type_symbol
_atom_site_fract_x
_atom_site_fract_y
_atom_site_fract_z
_atom_site_occupancy
La1 La 0.000 0.000 0.000 1
La2 La 0.366 0.866 0.500 1
La3 La 0.634 0.134 0.500 1
Nd1 Nd 0.134 0.634 0.500 1
Nd2 Nd 0.500 0.500 0.000 1
Nd3 Nd 0.866 0.366 0.500 1
Sc1 Sc 0.249 0.249 0.000 1
Sc2 Sc 0.751 0.751 0.000 1
```

Most intense lines, 2θ from 5° to 70°, by intensity:
2θ (°)	I (rel.)
30.43	1000
34.65	364
59.50	291
51.22	210
36.52	139
49.81	129
25.97	113
63.32	110
61.99	100
8.99	70
52.80	62
44.58	60